# Li2CrC2O6
Simulated X-ray diffraction stick pattern, CuKα. Input: DFT lattice parameters and positions (PBE+U).

Atomic structure:
Cell lengths 8.7612, 6.0953, 9.9283 Å; angles 60.84, 37.41, 81.74 degrees
Positions (direct):
Li1 0.2800 0.7200 0.3702
Li2 0.6202 0.8798 0.5300
Li3 0.7200 0.2800 0.6298
Li4 0.8798 0.6202 0.9700
Cr1 0.1744 0.1744 0.8256
Cr2 0.4244 0.4244 0.0756
C1 0.0848 0.3374 0.1119
C2 0.1381 0.7842 0.1652
C3 0.3374 0.0848 0.4658
C4 0.7842 0.1381 0.9126
O1 0.0100 0.3358 0.0384
O2 0.0212 0.3335 0.7361
O3 0.1659 0.9082 0.5539
O4 0.2116 0.6342 0.2400
O5 0.3335 0.0212 0.9092
O6 0.3358 0.0100 0.6158
O7 0.3408 0.5139 0.9165
O8 0.5139 0.3408 0.2288
O9 0.6342 0.2116 0.9142
O10 0.6961 0.8781 0.0841
O11 0.8781 0.6961 0.3418
O12 0.9082 0.1659 0.3719

The 10 most intense peaks (10 to 80 degrees two-theta), sorted by position:
2θ = 18.76°, 4.730 Å, I = 100
2θ = 24.15°, 3.685 Å, I = 37
2θ = 29.97°, 2.981 Å, I = 15
2θ = 32.47°, 2.757 Å, I = 14
2θ = 32.99°, 2.715 Å, I = 32
2θ = 34.12°, 2.628 Å, I = 36
2θ = 36.41°, 2.468 Å, I = 12
2θ = 42.23°, 2.140 Å, I = 12
2θ = 52.97°, 1.729 Å, I = 12
2θ = 58.04°, 1.589 Å, I = 14